This entry pairs a crystal structure of Ho2GaRu with its simulated powder diffractogram. Radiation: λ = 1.5418 Å (Cu Kα). Structure: the GGA-PBE geometry in the Materials Project.

Main lines, most intense first (2θ = 5–70°):
d/Å	I/Imax
2.477	100
2.457	51
1.422	35
1.737	18
1.434	16
3.474	11
1.766	8
7.063	7
3.532	5
1.949	5

Structure:
a = 3.4742 Å, b = 3.4742 Å, c = 7.0631 Å
α = 90.00°, β = 90.00°, γ = 90.00°
Sites, in units of the cell vectors:
Ho1 0.0000 0.0000 0.2296
Ho2 0.0000 0.0000 0.7704
Ga1 0.5000 0.5000 0.5000
Ru1 0.5000 0.5000 0.0000



This entry pairs a crystal structure of BaNaFe4As4 with its simulated powder diffractogram. Radiation: λ = 1.5418 Å (Cu Kα). Structure: the GGA-PBE geometry in the Materials Project.

Main lines, most intense first (2θ = 5–70°):
d/Å	I/Imax
2.866	100
1.683	40
1.601	39
1.931	38
2.512	30
6.413	29
2.079	21
1.365	12
5.023	11
2.730	11

Structure:
a = 6.9693 Å, b = 6.9693 Å, c = 5.4628 Å
α = 90.00°, β = 90.00°, γ = 133.89°
Sites, in units of the cell vectors:
Ba1 0.0000 0.0000 0.0000
Na1 0.5000 0.5000 0.5000
Fe1 0.0000 0.5000 0.2504
Fe2 0.0000 0.5000 0.7496
Fe3 0.5000 0.0000 0.2504
Fe4 0.5000 0.0000 0.7496
As1 0.1498 0.8502 0.5000
As2 0.3502 0.6498 0.0000
As3 0.6498 0.3502 0.0000
As4 0.8502 0.1498 0.5000



This entry pairs a crystal structure of DyLuO3 with its simulated powder diffractogram. Radiation: λ = 1.5418 Å (Cu Kα). Structure: the GGA-PBE geometry in the Materials Project.

Main lines, most intense first (2θ = 5–70°):
d/Å	I/Imax
2.890	100
1.686	25
2.806	22
2.938	22
1.636	22
2.029	18
1.445	13
2.058	12
1.660	11
1.804	6

Structure:
a = 5.8761 Å, b = 8.2338 Å, c = 5.6125 Å
α = 90.00°, β = 90.00°, γ = 90.00°
Sites, in units of the cell vectors:
Dy1 0.0531 0.2500 0.0130
Dy2 0.4469 0.7500 0.5130
Dy3 0.5531 0.2500 0.4870
Dy4 0.9469 0.7500 0.9870
Lu1 0.0000 0.0000 0.5000
Lu2 0.0000 0.5000 0.5000
Lu3 0.5000 0.0000 0.0000
Lu4 0.5000 0.5000 0.0000
O1 0.0714 0.7500 0.3607
O2 0.1837 0.5723 0.8200
O3 0.1837 0.9277 0.8200
O4 0.3163 0.0723 0.3200
O5 0.3163 0.4277 0.3200
O6 0.4286 0.2500 0.8607
O7 0.5714 0.7500 0.1393
O8 0.6837 0.5723 0.6800
O9 0.6837 0.9277 0.6800
O10 0.8163 0.0723 0.1800
O11 0.8163 0.4277 0.1800
O12 0.9286 0.2500 0.6393



This entry pairs a crystal structure of Th4P6PbO24 with its simulated powder diffractogram. Radiation: λ = 1.5418 Å (Cu Kα). Structure: the GGA-PBE geometry in the Materials Project.

Main lines, most intense first (2θ = 5–70°):
d/Å	I/Imax
3.297	100
3.066	90
2.772	81
4.843	73
3.056	73
6.415	70
4.435	69
2.878	62
1.718	59
5.211	55

Structure:
a = 6.9118 Å, b = 8.2288 Å, c = 9.4505 Å
α = 100.83°, β = 111.14°, γ = 90.03°
Sites, in units of the cell vectors:
Th1 0.0000 0.0000 0.0000
Th2 0.1266 0.0772 0.6236
Th3 0.3084 0.5812 0.6149
Th4 0.8143 0.5084 0.0065
P1 0.1539 0.2908 0.3123
P2 0.2824 0.3574 0.9371
P3 0.4605 0.8567 0.9381
P4 0.6579 0.2278 0.6883
P5 0.8363 0.7258 0.6872
P6 0.9617 0.7927 0.3100
Pb1 0.6313 0.1735 0.2653
O1 0.0136 0.8001 0.1641
O2 0.0936 0.2821 0.4547
O3 0.1493 0.4688 0.0077
O4 0.1558 0.7946 0.4599
O5 0.2079 0.1691 0.9130
O6 0.2397 0.3721 0.7663
O7 0.2574 0.1349 0.2599
O8 0.2984 0.4497 0.3622
O9 0.3298 0.8918 0.0405
O10 0.3368 0.8738 0.7679
O11 0.4552 0.1163 0.6184
O12 0.5122 0.6714 0.9126
O13 0.5162 0.3789 0.0368
O14 0.6028 0.6995 0.5953
O15 0.6090 0.4151 0.7161
O16 0.6596 0.9761 0.0154
O17 0.7873 0.2099 0.8577
O18 0.7877 0.1983 0.5837
O19 0.8234 0.6301 0.2601
O20 0.8661 0.9562 0.3593
O21 0.8821 0.7130 0.8606
O22 0.9136 0.9139 0.7141
O23 0.9490 0.2872 0.1684
O24 0.9704 0.6143 0.6183